[1]
# Sm3YPu2Se6
Calculated PXRD pattern, Cu Kα (λ = 1.5418 Å). Input: a cell relaxed with GGA-PBE.

Cell and atoms:
a b c (Å): 7.1679 7.1679 7.2158
angles (deg): 99.53 99.53 120.03
Positions (direct):
Sm  0.0000  0.0000  0.0000
Sm  0.3323  0.6677  0.0000
Sm  0.6677  0.3323  0.0000
Y  0.5000  0.5000  0.5000
Pu  0.1664  0.8336  0.5000
Pu  0.8336  0.1664  0.5000
Se  0.0869  0.4185  0.2552
Se  0.2508  0.2508  0.7469
Se  0.4185  0.0869  0.2552
Se  0.5815  0.9131  0.7448
Se  0.7492  0.7492  0.2531
Se  0.9131  0.5815  0.7448

Top 12 peaks for 2θ = 10–80°, low angle first:
two_theta, I (rel.)
26.2, 7.0
26.4, 17.9
30.5, 100.0
43.5, 37.7
43.8, 37.2
51.7, 6.1
53.9, 6.7
54.3, 19.7
63.4, 12.3
71.8, 17.2
72.2, 16.9
79.7, 6.4



[2]
# Mg3Cd6Sn2
Calculated PXRD pattern, Cu Kα (λ = 1.5418 Å). Input: a cell relaxed with GGA-PBE.

Cell and atoms:
a b c (Å): 4.4425 4.4425 13.7320
angles (deg): 90.36 90.36 88.94
Positions (direct):
Mg  0.0000  0.0000  0.0000
Mg  0.9995  0.9995  0.3089
Mg  0.0005  0.0005  0.6911
Cd  0.0016  0.4997  0.8561
Cd  0.2380  0.2380  0.5005
Cd  0.4997  0.0016  0.8561
Cd  0.5003  0.9984  0.1439
Cd  0.7620  0.7620  0.4995
Cd  0.9984  0.5003  0.1439
Sn  0.4984  0.4984  0.3115
Sn  0.5016  0.5016  0.6885

Top 12 peaks for 2θ = 10–80°, low angle first:
two_theta, I (rel.)
19.4, 48.9
28.1, 29.5
29.4, 100.0
32.6, 34.4
34.3, 82.8
34.6, 79.9
34.9, 41.5
39.1, 58.8
39.4, 35.8
40.6, 35.5
41.2, 40.2
42.7, 27.3



[3]
# Li2SmPd9
Calculated PXRD pattern, Cu Kα (λ = 1.5418 Å). Input: a cell relaxed with GGA-PBE.

Cell and atoms:
a b c (Å): 4.0660 4.0660 11.5603
angles (deg): 90.00 90.00 90.00
Positions (direct):
Li  0.0000  0.0000  0.1561
Li  0.0000  0.0000  0.8439
Sm  0.0000  0.0000  0.5000
Pd  0.0000  0.5000  0.0000
Pd  0.0000  0.5000  0.3154
Pd  0.0000  0.5000  0.6846
Pd  0.5000  0.0000  0.0000
Pd  0.5000  0.0000  0.3154
Pd  0.5000  0.0000  0.6846
Pd  0.5000  0.5000  0.1573
Pd  0.5000  0.5000  0.5000
Pd  0.5000  0.5000  0.8427

Top 12 peaks for 2θ = 10–80°, low angle first:
two_theta, I (rel.)
21.9, 5.2
23.2, 7.6
26.8, 3.3
30.9, 3.2
32.0, 8.1
34.9, 6.8
39.1, 100.0
44.6, 36.1
47.2, 12.5
64.9, 11.5
66.9, 17.1
78.4, 26.7



[4]
# KHg2C2O6
Calculated PXRD pattern, Cu Kα (λ = 1.5418 Å). Input: a cell relaxed with GGA-PBE.

Cell and atoms:
a b c (Å): 5.3961 5.7617 6.8706
angles (deg): 112.35 90.48 110.01
Positions (direct):
K  0.0000  0.0000  0.0000
Hg  0.2582  0.7863  0.4334
Hg  0.7418  0.2137  0.5666
C  0.3085  0.4699  0.7277
C  0.6915  0.5301  0.2723
O  0.1579  0.2246  0.7046
O  0.1846  0.6279  0.7223
O  0.4355  0.4474  0.2463
O  0.5645  0.5526  0.7537
O  0.8154  0.3721  0.2777
O  0.8421  0.7754  0.2954

Top 12 peaks for 2θ = 10–80°, low angle first:
two_theta, I (rel.)
14.1, 100.0
17.7, 19.4
20.0, 35.7
21.8, 34.3
26.7, 45.8
27.1, 45.7
29.8, 30.1
35.9, 27.5
40.6, 15.7
40.9, 15.9
44.4, 19.6
44.5, 12.8



[5]
# CaLaIr2Ru
Calculated PXRD pattern, Cu Kα (λ = 1.5418 Å). Input: a cell relaxed with GGA-PBE.

Cell and atoms:
a b c (Å): 4.7319 4.7319 5.1682
angles (deg): 90.00 90.00 90.00
Positions (direct):
Ca  0.0000  0.0000  0.0000
La  0.0000  0.0000  0.5000
Ir  0.0000  0.5000  0.0000
Ir  0.5000  0.0000  0.0000
Ru  0.5000  0.5000  0.5000

Top 12 peaks for 2θ = 10–80°, low angle first:
two_theta, I (rel.)
17.2, 10.6
18.8, 3.3
31.9, 100.0
34.7, 26.2
38.0, 40.9
42.0, 4.7
52.4, 32.4
54.9, 14.1
60.4, 16.4
64.9, 26.5
66.6, 15.7
73.3, 3.0



[6]
# Cd3H4Rh2
Calculated PXRD pattern, Cu Kα (λ = 1.5418 Å). Input: a cell relaxed with GGA-PBE.

Cell and atoms:
a b c (Å): 7.0672 7.0672 5.4259
angles (deg): 97.86 97.86 62.18
Positions (direct):
Cd  0.0802  0.9198  0.7500
Cd  0.3017  0.4937  0.3594
Cd  0.4937  0.3017  0.8594
Cd  0.5063  0.6983  0.1406
Cd  0.6983  0.5063  0.6406
Cd  0.9198  0.0802  0.2500
H  0.0618  0.3315  0.2601
H  0.0650  0.3290  0.8775
H  0.3290  0.0650  0.3775
H  0.3315  0.0618  0.7601
H  0.6685  0.9382  0.2399
H  0.6710  0.9350  0.6225
H  0.9350  0.6710  0.1225
H  0.9382  0.6685  0.7399
Rh  0.1345  0.2642  0.5696
Rh  0.2642  0.1345  0.0696
Rh  0.7358  0.8655  0.9304
Rh  0.8655  0.7358  0.4304

Top 12 peaks for 2θ = 10–80°, low angle first:
two_theta, I (rel.)
22.8, 44.6
24.4, 63.9
28.5, 24.6
29.6, 37.2
34.5, 39.3
39.0, 66.6
39.4, 96.1
39.7, 100.0
40.6, 28.2
42.0, 33.3
45.5, 21.5
46.5, 21.3



[7]
# Te6Cl2O11
Calculated PXRD pattern, Cu Kα (λ = 1.5418 Å). Input: a cell relaxed with GGA-PBE.

Cell and atoms:
a b c (Å): 6.9111 6.9111 15.7076
angles (deg): 90.00 90.00 60.59
Positions (direct):
Te  0.0725  0.9275  0.6425
Te  0.0725  0.9275  0.8575
Te  0.2120  0.4762  0.0858
Te  0.2120  0.4762  0.4142
Te  0.4762  0.2120  0.5858
Te  0.4762  0.2120  0.9142
Te  0.5238  0.7880  0.0858
Te  0.5238  0.7880  0.4142
Te  0.7880  0.5238  0.5858
Te  0.7880  0.5238  0.9142
Te  0.9275  0.0725  0.1425
Te  0.9275  0.0725  0.3575
Cl  0.1272  0.5545  0.7500
Cl  0.4455  0.8728  0.7500
Cl  0.5545  0.1272  0.2500
Cl  0.8728  0.4455  0.2500
O  0.0411  0.2009  0.5960
O  0.0411  0.2009  0.9040
O  0.0744  0.9256  0.2500
O  0.1833  0.5149  0.5360
O  0.1833  0.5149  0.9640
O  0.2009  0.0411  0.0960
O  0.2009  0.0411  0.4040
O  0.4244  0.5756  0.1144
O  0.4244  0.5756  0.3856
O  0.4851  0.8167  0.5360
O  0.4851  0.8167  0.9640
O  0.5149  0.1833  0.0360
O  0.5149  0.1833  0.4640
O  0.5756  0.4244  0.6144
O  0.5756  0.4244  0.8856
O  0.7991  0.9589  0.5960
O  0.7991  0.9589  0.9040
O  0.8167  0.4851  0.0360
O  0.8167  0.4851  0.4640
O  0.9256  0.0744  0.7500
O  0.9589  0.7991  0.0960
O  0.9589  0.7991  0.4040

Top 12 peaks for 2θ = 10–80°, low angle first:
two_theta, I (rel.)
11.3, 37.4
18.6, 34.0
22.5, 38.9
22.6, 46.7
25.8, 100.0
26.2, 35.3
30.8, 65.3
31.0, 86.9
34.6, 23.4
37.5, 34.1
45.6, 46.7
56.1, 29.1



[8]
# HfTi4Mn
Calculated PXRD pattern, Cu Kα (λ = 1.5418 Å). Input: a cell relaxed with GGA-PBE.

Cell and atoms:
a b c (Å): 9.6110 4.4855 5.5184
angles (deg): 90.00 122.58 90.00
Positions (direct):
Hf  0.0000  0.0000  0.0000
Hf  0.5000  0.5000  0.0000
Ti  0.1430  0.5000  0.7975
Ti  0.2144  0.5000  0.3597
Ti  0.2856  0.0000  0.6403
Ti  0.3570  0.0000  0.2025
Ti  0.6430  0.0000  0.7975
Ti  0.7144  0.0000  0.3597
Ti  0.7856  0.5000  0.6403
Ti  0.8570  0.5000  0.2025
Mn  0.0000  0.0000  0.5000
Mn  0.5000  0.5000  0.5000

Top 12 peaks for 2θ = 10–80°, low angle first:
two_theta, I (rel.)
19.9, 19.6
21.9, 19.7
22.7, 55.2
25.6, 23.5
34.4, 35.3
36.4, 18.4
38.9, 85.4
39.6, 100.0
40.2, 48.7
40.4, 46.4
52.6, 20.1
58.3, 26.2



[9]
# LaFePb4
Calculated PXRD pattern, Cu Kα (λ = 1.5418 Å). Input: a cell relaxed with GGA-PBE.

Cell and atoms:
a b c (Å): 6.3934 6.3934 6.3934
angles (deg): 60.00 60.00 60.00
Positions (direct):
La  0.0000  0.0000  0.0000
Fe  0.2500  0.2500  0.2500
Pb  0.1246  0.6251  0.6251
Pb  0.6251  0.1246  0.6251
Pb  0.6251  0.6251  0.1246
Pb  0.6251  0.6251  0.6251

Top 12 peaks for 2θ = 10–80°, low angle first:
two_theta, I (rel.)
17.0, 39.0
27.9, 9.8
32.9, 100.0
34.4, 66.1
39.9, 19.2
43.6, 11.9
52.6, 35.8
57.7, 34.7
60.6, 9.4
68.0, 12.5
68.9, 27.7
75.0, 5.3



[10]
# Tl4GaCl7
Calculated PXRD pattern, Cu Kα (λ = 1.5418 Å). Input: a cell relaxed with GGA-PBE.

Cell and atoms:
a b c (Å): 7.8769 7.8769 9.7345
angles (deg): 113.51 113.51 48.74
Positions (direct):
Tl  0.1020  0.1020  0.2792
Tl  0.3677  0.3333  0.0081
Tl  0.6667  0.6323  0.9919
Tl  0.8980  0.8980  0.7208
Ga  0.4895  0.5105  0.5000
Cl  0.1427  0.1092  0.9729
Cl  0.1495  0.8505  0.5000
Cl  0.4231  0.4403  0.7024
Cl  0.5108  0.2053  0.3407
Cl  0.5597  0.5769  0.2976
Cl  0.7947  0.4892  0.6593
Cl  0.8908  0.8573  0.0271

Top 12 peaks for 2θ = 10–80°, low angle first:
two_theta, I (rel.)
10.1, 31.9
20.0, 46.5
20.4, 51.8
22.9, 63.4
23.1, 100.0
27.5, 92.7
27.7, 33.0
30.6, 24.3
31.1, 43.7
33.5, 38.5
34.4, 32.2
41.9, 28.8